(1)
FeCl3: computed X-ray diffraction stick pattern (copper Kα), based on a GGA-PBE-relaxed structure.
Neutral-atom scattering factors, no anomalous dispersion.

Crystal structure
```
data_FeCl3
_chemical_formula_sum 'Fe2 Cl6'
_space_group_name_H-M_alt 'P 1'
_space_group_IT_number 1
_cell_length_a 3.7604
_cell_length_b 7.8946
_cell_length_c 9.9356
_cell_angle_alpha 80.50
_cell_angle_beta 89.98
_cell_angle_gamma 77.23
loop_
_space_group_symop_operation_xyz
'x,y,z'
loop_
_atom_site_label
_atom_site_type_symbol
_atom_site_fract_x
_atom_site_fract_y
_atom_site_fract_z
Fe1 Fe 0.0000 0.0000 0.0000
Fe2 Fe 0.0887 0.6845 0.5248
Cl1 Cl 0.2168 0.4959 0.3892
Cl2 Cl 0.5783 0.8319 0.0801
Cl3 Cl 0.6102 0.6376 0.6677
Cl4 Cl 0.9314 0.2447 0.0743
Cl5 Cl 0.9360 0.9504 0.4172
Cl6 Cl 0.9596 0.0368 0.7809
```

Top 10 peaks for 10° ≤ 2θ ≤ 90°, most intense first:
2θ 15.9, d = 5.560 Å, I = 100
2θ 13.5, d = 6.560 Å, I = 80
2θ 11.7, d = 7.588 Å, I = 80
2θ 18.1, d = 4.896 Å, I = 47
2θ 26.5, d = 3.358 Å, I = 40
2θ 24.3, d = 3.665 Å, I = 34
2θ 27.2, d = 3.280 Å, I = 26
2θ 27.3, d = 3.264 Å, I = 23
2θ 48.4, d = 1.880 Å, I = 22
2θ 32.2, d = 2.782 Å, I = 20

---

(2)
SmSeClO3: computed X-ray diffraction stick pattern (copper Kα), based on a GGA-PBE-relaxed structure.
Neutral-atom scattering factors, no anomalous dispersion.

Crystal structure
```
data_SmSeClO3
_chemical_formula_sum 'Sm4 Se4 Cl4 O12'
_space_group_name_H-M_alt 'P n m a'
_space_group_IT_number 62
_cell_length_a 7.4072
_cell_length_b 7.1849
_cell_length_c 9.0550
_cell_angle_alpha 90.00
_cell_angle_beta 90.00
_cell_angle_gamma 90.00
loop_
_space_group_symop_operation_xyz
'x,y,z'
'-x,-y,-z'
'-x+1/2,-y,z+1/2'
'x+1/2,y,-z+1/2'
'x+1/2,-y+1/2,-z+1/2'
'-x+1/2,y+1/2,z+1/2'
'-x,y+1/2,-z'
'x,-y+1/2,z'
loop_
_atom_site_label
_atom_site_type_symbol
_atom_site_fract_x
_atom_site_fract_y
_atom_site_fract_z
Sm1 Sm 0.1097 0.2500 0.0392
Se1 Se 0.2118 0.2500 0.6313
Cl1 Cl 0.0508 0.7500 0.6798
O1 O 0.1431 0.5749 0.0672
O2 O 0.2471 0.7500 0.3161
```

Top 10 peaks for 10° ≤ 2θ ≤ 90°, most intense first:
2θ 24.8, d = 3.592 Å, I = 100
2θ 15.5, d = 5.733 Å, I = 93
2θ 23.0, d = 3.863 Å, I = 67
2θ 27.1, d = 3.292 Å, I = 48
2θ 39.9, d = 2.261 Å, I = 46
2θ 33.7, d = 2.663 Å, I = 44
2θ 28.9, d = 3.094 Å, I = 42
2θ 40.9, d = 2.207 Å, I = 33
2θ 19.6, d = 4.527 Å, I = 32
2θ 32.0, d = 2.795 Å, I = 29

---

(3)
EuZnSn: computed X-ray diffraction stick pattern (copper Kα), based on a GGA-PBE-relaxed structure.
Neutral-atom scattering factors, no anomalous dispersion.

Crystal structure
```
data_EuZnSn
_chemical_formula_sum 'Eu4 Zn4 Sn4'
_space_group_name_H-M_alt 'C 1 2/m 1'
_space_group_IT_number 12
_cell_length_a 11.2361
_cell_length_b 4.8123
_cell_length_c 7.6879
_cell_angle_alpha 90.00
_cell_angle_beta 132.67
_cell_angle_gamma 90.00
loop_
_space_group_symop_operation_xyz
'x,y,z'
'-x,-y,-z'
'-x,y,-z'
'x,-y,z'
'x+1/2,y+1/2,z'
'-x+1/2,-y+1/2,-z'
'-x+1/2,y+1/2,-z'
'x+1/2,-y+1/2,z'
loop_
_atom_site_label
_atom_site_type_symbol
_atom_site_fract_x
_atom_site_fract_y
_atom_site_fract_z
Eu1 Eu 0.0376 0.0000 0.2859
Zn1 Zn 0.1529 0.5000 0.1008
Sn1 Sn 0.1714 0.5000 0.7258
```

Top 10 peaks for 10° ≤ 2θ ≤ 90°, most intense first:
2θ 31.8, d = 2.816 Å, I = 100
2θ 31.6, d = 2.828 Å, I = 99
2θ 37.6, d = 2.390 Å, I = 91
2θ 37.4, d = 2.406 Å, I = 59
2θ 30.7, d = 2.909 Å, I = 44
2θ 31.9, d = 2.802 Å, I = 25
2θ 49.8, d = 1.832 Å, I = 24
2θ 63.9, d = 1.457 Å, I = 21
2θ 36.8, d = 2.441 Å, I = 18
2θ 50.0, d = 1.825 Å, I = 18

---

(4)
UNi2As2: computed X-ray diffraction stick pattern (copper Kα), based on a GGA-PBE-relaxed structure.
Neutral-atom scattering factors, no anomalous dispersion.

Crystal structure
```
data_UNi2As2
_chemical_formula_sum 'U2 Ni4 As4'
_space_group_name_H-M_alt 'P 4/n m m'
_space_group_IT_number 129
_cell_length_a 4.1576
_cell_length_b 4.1576
_cell_length_c 9.2286
_cell_angle_alpha 90.00
_cell_angle_beta 90.00
_cell_angle_gamma 90.00
loop_
_space_group_symop_operation_xyz
'x,y,z'
'-x,-y,-z'
'-y+1/2,x,z'
'y+1/2,-x,-z'
'-x+1/2,-y+1/2,z'
'x+1/2,y+1/2,-z'
'y,-x+1/2,z'
'-y,x+1/2,-z'
'x+1/2,-y,-z'
'-x+1/2,y,z'
'-y,-x,-z'
'y,x,z'
'-x,y+1/2,-z'
'x,-y+1/2,z'
'y+1/2,x+1/2,-z'
'-y+1/2,-x+1/2,z'
loop_
_atom_site_label
_atom_site_type_symbol
_atom_site_fract_x
_atom_site_fract_y
_atom_site_fract_z
U1 U 0.2500 0.2500 0.2482
Ni1 Ni 0.2500 0.2500 0.6191
Ni2 Ni 0.2500 0.7500 0.0000
As1 As 0.2500 0.2500 0.8689
As2 As 0.2500 0.7500 0.5000
```

Top 10 peaks for 10° ≤ 2θ ≤ 90°, most intense first:
2θ 36.3, d = 2.477 Å, I = 100
2θ 43.5, d = 2.079 Å, I = 32
2θ 58.0, d = 1.591 Å, I = 23
2θ 75.2, d = 1.264 Å, I = 19
2θ 23.5, d = 3.791 Å, I = 19
2θ 30.4, d = 2.940 Å, I = 17
2θ 54.4, d = 1.687 Å, I = 14
2θ 72.1, d = 1.310 Å, I = 12
2θ 63.3, d = 1.470 Å, I = 11
2θ 68.9, d = 1.363 Å, I = 9

---

(5)
Zr4Sc5N10: computed X-ray diffraction stick pattern (copper Kα), based on a GGA-PBE-relaxed structure.
Neutral-atom scattering factors, no anomalous dispersion.

Crystal structure
```
data_Zr4Sc5N10
_chemical_formula_sum 'Zr8 Sc10 N20'
_space_group_name_H-M_alt 'C 1 2/m 1'
_space_group_IT_number 12
_cell_length_a 10.2179
_cell_length_b 4.5065
_cell_length_c 10.2043
_cell_angle_alpha 90.00
_cell_angle_beta 90.06
_cell_angle_gamma 90.00
loop_
_space_group_symop_operation_xyz
'x,y,z'
'-x,-y,-z'
'-x,y,-z'
'x,-y,z'
'x+1/2,y+1/2,z'
'-x+1/2,-y+1/2,-z'
'-x+1/2,y+1/2,-z'
'x+1/2,-y+1/2,z'
loop_
_atom_site_label
_atom_site_type_symbol
_atom_site_fract_x
_atom_site_fract_y
_atom_site_fract_z
Zr1 Zr 0.0944 0.0000 0.1958
Zr2 Zr 0.1989 0.0000 0.9030
Sc1 Sc 0.0000 0.0000 0.5000
Sc2 Sc 0.0991 0.5000 0.7014
Sc3 Sc 0.1987 0.5000 0.4036
N1 N 0.0000 0.0000 0.0000
N2 N 0.0000 0.5000 0.5000
N3 N 0.0990 0.0000 0.7021
N4 N 0.1064 0.5000 0.2119
N5 N 0.1996 0.0000 0.4001
N6 N 0.2138 0.5000 0.8958
```

Top 10 peaks for 10° ≤ 2θ ≤ 90°, most intense first:
2θ 34.2, d = 2.625 Å, I = 100
2θ 39.5, d = 2.283 Å, I = 81
2θ 57.5, d = 1.604 Å, I = 48
2θ 40.0, d = 2.253 Å, I = 38
2θ 57.0, d = 1.615 Å, I = 24
2θ 71.9, d = 1.312 Å, I = 22
2θ 68.2, d = 1.376 Å, I = 21
2θ 21.6, d = 4.123 Å, I = 19
2θ 23.3, d = 3.823 Å, I = 14
2θ 68.9, d = 1.362 Å, I = 13

---

(6)
RbBa2Br5: computed X-ray diffraction stick pattern (copper Kα), based on a GGA-PBE-relaxed structure.
Neutral-atom scattering factors, no anomalous dispersion.

Crystal structure
```
data_RbBa2Br5
_chemical_formula_sum 'Rb4 Ba8 Br20'
_space_group_name_H-M_alt 'P 1 21/c 1'
_space_group_IT_number 14
_cell_length_a 9.9145
_cell_length_b 8.8247
_cell_length_c 14.1388
_cell_angle_alpha 90.00
_cell_angle_beta 90.01
_cell_angle_gamma 90.00
loop_
_space_group_symop_operation_xyz
'x,y,z'
'-x,-y,-z'
'-x,y+1/2,-z+1/2'
'x,-y+1/2,z+1/2'
loop_
_atom_site_label
_atom_site_type_symbol
_atom_site_fract_x
_atom_site_fract_y
_atom_site_fract_z
Rb1 Rb 0.0040 0.0223 0.1769
Ba1 Ba 0.2506 0.0734 0.4927
Ba2 Ba 0.4982 0.5244 0.3223
Br1 Br 0.0392 0.6625 0.0922
Br2 Br 0.2701 0.1986 0.7177
Br3 Br 0.2792 0.0457 0.9975
Br4 Br 0.2833 0.6669 0.8150
Br5 Br 0.4584 0.6624 0.1001
```

Top 10 peaks for 10° ≤ 2θ ≤ 90°, most intense first:
2θ 29.9, d = 2.988 Å, I = 100
2θ 31.1, d = 2.879 Å, I = 78
2θ 27.8, d = 3.213 Å, I = 60
2θ 36.2, d = 2.478 Å, I = 42
2θ 38.0, d = 2.366 Å, I = 38
2θ 28.0, d = 3.185 Å, I = 31
2θ 24.1, d = 3.687 Å, I = 30
2θ 27.2, d = 3.281 Å, I = 29
2θ 36.0, d = 2.494 Å, I = 27
2θ 34.2, d = 2.619 Å, I = 24

---

(7)
Hg3Pd: computed X-ray diffraction stick pattern (copper Kα), based on a GGA-PBE-relaxed structure.
Neutral-atom scattering factors, no anomalous dispersion.

Crystal structure
```
data_Hg3Pd
_chemical_formula_sum 'Hg3 Pd1'
_space_group_name_H-M_alt 'P m -3 m'
_space_group_IT_number 221
_space_group_name_Hall '-P 4 2 3'
_cell_length_a 4.3650
_cell_length_b 4.3650
_cell_length_c 4.3650
_cell_angle_alpha 90.00
_cell_angle_beta 90.00
_cell_angle_gamma 90.00
loop_
_atom_site_label
_atom_site_type_symbol
_atom_site_fract_x
_atom_site_fract_y
_atom_site_fract_z
Hg1 Hg 0.0000 0.0000 0.5000
Pd1 Pd 0.5000 0.5000 0.5000
```

Top 10 peaks for 10° ≤ 2θ ≤ 90°, most intense first:
2θ 35.6, d = 2.520 Å, I = 100
2θ 41.4, d = 2.182 Å, I = 50
2θ 71.7, d = 1.316 Å, I = 40
2θ 59.9, d = 1.543 Å, I = 34
2θ 75.4, d = 1.260 Å, I = 12
2θ 89.9, d = 1.091 Å, I = 6
2θ 20.3, d = 4.365 Å, I = 5
2θ 28.9, d = 3.086 Å, I = 4
2θ 46.5, d = 1.952 Å, I = 3
2θ 51.3, d = 1.782 Å, I = 2

---

(8)
U2ClO11: computed X-ray diffraction stick pattern (copper Kα), based on a GGA-PBE-relaxed structure.
Neutral-atom scattering factors, no anomalous dispersion.

Crystal structure
```
data_U2ClO11
_chemical_formula_sum 'U8 Cl4 O44'
_space_group_name_H-M_alt 'P 1 21/c 1'
_space_group_IT_number 14
_cell_length_a 9.8976
_cell_length_b 10.3364
_cell_length_c 12.9140
_cell_angle_alpha 90.00
_cell_angle_beta 124.12
_cell_angle_gamma 90.00
loop_
_space_group_symop_operation_xyz
'x,y,z'
'-x,-y,-z'
'-x,y+1/2,-z+1/2'
'x,-y+1/2,z+1/2'
loop_
_atom_site_label
_atom_site_type_symbol
_atom_site_fract_x
_atom_site_fract_y
_atom_site_fract_z
U1 U 0.0200 0.0588 0.3688
U2 U 0.3888 0.6278 0.1175
Cl1 Cl 0.2631 0.6975 0.2692
O1 O 0.0466 0.1094 0.2414
O2 O 0.0651 0.0193 0.0441
O3 O 0.0861 0.0894 0.7155
O4 O 0.1270 0.1998 0.4675
O5 O 0.1274 0.5572 0.0476
O6 O 0.2891 0.7168 0.5512
O7 O 0.2933 0.5445 0.9591
O8 O 0.4343 0.0280 0.6980
O9 O 0.4392 0.0295 0.9864
O10 O 0.4403 0.2089 0.2440
O11 O 0.4547 0.1924 0.4339
```

Top 10 peaks for 10° ≤ 2θ ≤ 90°, most intense first:
2θ 11.9, d = 7.431 Å, I = 100
2θ 19.1, d = 4.653 Å, I = 43
2θ 23.7, d = 3.757 Å, I = 39
2θ 18.7, d = 4.748 Å, I = 33
2θ 25.2, d = 3.532 Å, I = 25
2θ 18.5, d = 4.803 Å, I = 19
2θ 13.8, d = 6.420 Å, I = 19
2θ 12.6, d = 7.037 Å, I = 18
2θ 31.0, d = 2.880 Å, I = 17
2θ 26.5, d = 3.369 Å, I = 17